(1)
This entry pairs a crystal structure of P with its simulated powder XRD pattern. Radiation: Cu Ka. Structure: a DFT-relaxed cell (PBE, Alexandria).
Intensities are scaled so that the largest is 100.

Principal peaks in the range 2θ = 10–90°, in order of rising 2θ:
2θ = 15.31°, 5.788 Å, I 100; 2θ = 32.92°, 2.720 Å, I 13; 2θ = 33.34°, 2.687 Å, I 28; 2θ = 40.47°, 2.229 Å, I 11; 2θ = 41.28°, 2.187 Å, I 10; 2θ = 41.44°, 2.179 Å, I 10; 2θ = 48.28°, 1.885 Å, I 5; 2θ = 48.48°, 1.878 Å, I 5; 2θ = 56.12°, 1.639 Å, I 12; 2θ = 58.13°, 1.587 Å, I 5

abc: 3.278 3.279 6.041
angles: 75.78 75.53 60.01
Element x y z (fractional)
1 P 0.200 0.198 0.393
2 P 0.800 0.802 0.607

(2)
This entry pairs a crystal structure of AcSmZnIn with its simulated powder XRD pattern. Radiation: Cu Ka. Structure: a DFT-relaxed cell (PBE, Alexandria).
Intensities are scaled so that the largest is 100.

Principal peaks in the range 2θ = 10–90°, in order of rising 2θ:
2θ = 23.12°, 3.847 Å, I 13; 2θ = 25.78°, 3.455 Å, I 11; 2θ = 32.57°, 2.750 Å, I 100; 2θ = 32.93°, 2.720 Å, I 53; 2θ = 47.26°, 1.923 Å, I 19; 2θ = 57.88°, 1.593 Å, I 15; 2θ = 58.57°, 1.576 Å, I 37; 2θ = 68.22°, 1.375 Å, I 9; 2θ = 78.45°, 1.219 Å, I 8; 2θ = 78.65°, 1.217 Å, I 9

abc: 3.847 3.847 7.863
angles: 90.00 90.00 90.00
Element x y z (fractional)
1 Ac 0.000 0.000 0.000
2 Sm 0.000 0.000 0.464
3 Zn 0.500 0.500 0.265
4 In 0.500 0.500 0.706

(3)
This entry pairs a crystal structure of As2I3 with its simulated powder XRD pattern. Radiation: Cu Ka. Structure: a DFT-relaxed cell (PBE, Alexandria).
Intensities are scaled so that the largest is 100.

Principal peaks in the range 2θ = 10–90°, in order of rising 2θ:
2θ = 10.59°, 8.357 Å, I 80; 2θ = 21.29°, 4.173 Å, I 91; 2θ = 23.78°, 3.741 Å, I 71; 2θ = 30.28°, 2.952 Å, I 100; 2θ = 31.23°, 2.864 Å, I 56; 2θ = 32.13°, 2.786 Å, I 61; 2θ = 33.04°, 2.711 Å, I 31; 2θ = 42.62°, 2.121 Å, I 35; 2θ = 43.59°, 2.076 Å, I 32; 2θ = 46.76°, 1.943 Å, I 44

abc: 16.845 6.632 17.860
angles: 70.47 21.78 87.75
Element x y z (fractional)
1 As 0.179 0.821 0.309
2 As 0.559 0.941 0.429
3 As 0.821 0.179 0.691
4 As 0.941 0.559 0.071
5 I 0.047 0.456 0.118
6 I 0.132 0.871 0.203
7 I 0.250 0.250 0.750
8 I 0.456 0.047 0.379
9 I 0.500 0.500 0.000
10 I 0.871 0.132 0.794

(4)
This entry pairs a crystal structure of Ti3CoTe6 with its simulated powder XRD pattern. Radiation: Cu Ka. Structure: a DFT-relaxed cell (PBE, Alexandria).
Intensities are scaled so that the largest is 100.

Principal peaks in the range 2θ = 10–90°, in order of rising 2θ:
2θ = 26.71°, 3.338 Å, I 44; 2θ = 27.83°, 3.206 Å, I 100; 2θ = 34.03°, 2.635 Å, I 23; 2θ = 34.64°, 2.590 Å, I 25; 2θ = 35.49°, 2.529 Å, I 51; 2θ = 36.37°, 2.470 Å, I 74; 2θ = 41.40°, 2.181 Å, I 24; 2θ = 42.68°, 2.118 Å, I 18; 2θ = 43.69°, 2.072 Å, I 19; 2θ = 50.84°, 1.796 Å, I 35

abc: 7.917 7.917 7.917
angles: 87.65 87.65 87.65
Element x y z (fractional)
1 Ti 0.066 0.587 0.205
2 Ti 0.205 0.066 0.587
3 Ti 0.413 0.795 0.934
4 Ti 0.587 0.205 0.066
5 Ti 0.795 0.934 0.413
6 Ti 0.934 0.413 0.795
7 Co 0.000 0.000 0.000
8 Co 0.500 0.500 0.500
9 Te 0.092 0.702 0.866
10 Te 0.134 0.908 0.298
11 Te 0.187 0.417 0.527
12 Te 0.298 0.134 0.908
13 Te 0.417 0.527 0.187
14 Te 0.473 0.813 0.583
15 Te 0.527 0.187 0.417
16 Te 0.583 0.473 0.813
17 Te 0.702 0.866 0.092
18 Te 0.813 0.583 0.473
19 Te 0.866 0.092 0.702
20 Te 0.908 0.298 0.134

(5)
This entry pairs a crystal structure of ScZnFeNi with its simulated powder XRD pattern. Radiation: Cu Ka. Structure: a DFT-relaxed cell (PBE, Alexandria).
Intensities are scaled so that the largest is 100.

Principal peaks in the range 2θ = 10–90°, in order of rising 2θ:
2θ = 25.45°, 3.500 Å, I 3; 2θ = 42.17°, 2.143 Å, I 100; 2θ = 49.90°, 1.828 Å, I 2; 2θ = 61.16°, 1.515 Å, I 15; 2θ = 67.34°, 1.391 Å, I 1; 2θ = 77.08°, 1.237 Å, I 29; 2θ = 82.73°, 1.167 Å, I 1

abc: 6.061 6.061 6.061
angles: 90.00 90.00 90.00
Element x y z (fractional)
1 Sc 0.000 0.000 0.000
2 Sc 0.000 0.500 0.500
3 Sc 0.500 0.000 0.500
4 Sc 0.500 0.500 0.000
5 Zn 0.000 0.000 0.500
6 Zn 0.000 0.500 0.000
7 Zn 0.500 0.000 0.000
8 Zn 0.500 0.500 0.500
9 Fe 0.250 0.250 0.250
10 Fe 0.250 0.750 0.750
11 Fe 0.750 0.250 0.750
12 Fe 0.750 0.750 0.250
13 Ni 0.250 0.250 0.750
14 Ni 0.250 0.750 0.250
15 Ni 0.750 0.250 0.250
16 Ni 0.750 0.750 0.750

(6)
This entry pairs a crystal structure of GeBr with its simulated powder XRD pattern. Radiation: Cu Ka. Structure: a DFT-relaxed cell (PBE, Alexandria).
Intensities are scaled so that the largest is 100.

Principal peaks in the range 2θ = 10–90°, in order of rising 2θ:
2θ = 13.75°, 6.439 Å, I 100; 2θ = 16.78°, 5.283 Å, I 96; 2θ = 25.45°, 3.499 Å, I 80; 2θ = 27.19°, 3.279 Å, I 31; 2θ = 28.45°, 3.137 Å, I 33; 2θ = 32.91°, 2.721 Å, I 44; 2θ = 35.18°, 2.551 Å, I 86; 2θ = 36.42°, 2.467 Å, I 36; 2θ = 42.92°, 2.107 Å, I 47; 2θ = 47.47°, 1.915 Å, I 40

abc: 6.899 8.121 10.566
angles: 90.00 90.00 90.00
Element x y z (fractional)
1 Ge 0.158 0.037 0.036
2 Ge 0.167 0.683 0.510
3 Ge 0.333 0.317 0.010
4 Ge 0.342 0.963 0.536
5 Ge 0.658 0.463 0.964
6 Ge 0.667 0.817 0.490
7 Ge 0.833 0.183 0.990
8 Ge 0.842 0.537 0.464
9 Br 0.088 0.130 0.801
10 Br 0.114 0.547 0.054
11 Br 0.386 0.453 0.554
12 Br 0.412 0.870 0.301
13 Br 0.588 0.370 0.199
14 Br 0.614 0.953 0.946
15 Br 0.886 0.047 0.446
16 Br 0.912 0.630 0.699

(7)
This entry pairs a crystal structure of MnTl2AsSe4 with its simulated powder XRD pattern. Radiation: Cu Ka. Structure: a DFT-relaxed cell (PBE, Alexandria).
Intensities are scaled so that the largest is 100.

Principal peaks in the range 2θ = 10–90°, in order of rising 2θ:
2θ = 25.23°, 3.530 Å, I 10; 2θ = 30.66°, 2.916 Å, I 100; 2θ = 33.58°, 2.668 Å, I 9; 2θ = 43.50°, 2.081 Å, I 11; 2θ = 43.90°, 2.062 Å, I 46; 2θ = 44.36°, 2.042 Å, I 12; 2θ = 54.14°, 1.694 Å, I 11; 2θ = 54.87°, 1.673 Å, I 12; 2θ = 63.84°, 1.458 Å, I 10; 2θ = 72.46°, 1.304 Å, I 17

abc: 8.250 8.250 8.250
angles: 120.65 119.42 89.94
Element x y z (fractional)
1 Mn 0.500 0.000 0.000
2 Mn 0.500 0.500 0.500
3 Tl 0.000 0.000 0.000
4 Tl 0.000 0.000 0.500
5 Tl 0.000 0.500 0.000
6 Tl 0.500 0.000 0.500
7 As 0.000 0.500 0.500
8 As 0.500 0.500 0.000
9 Se 0.270 0.298 0.528
10 Se 0.270 0.742 0.972
11 Se 0.276 0.736 0.540
12 Se 0.304 0.264 0.040
13 Se 0.696 0.736 0.960
14 Se 0.724 0.264 0.460
15 Se 0.730 0.258 0.028
16 Se 0.730 0.702 0.472

(8)
This entry pairs a crystal structure of KCa2Ta with its simulated powder XRD pattern. Radiation: Cu Ka. Structure: a DFT-relaxed cell (PBE, Alexandria).
Intensities are scaled so that the largest is 100.

Principal peaks in the range 2θ = 10–90°, in order of rising 2θ:
2θ = 14.85°, 5.965 Å, I 44; 2θ = 26.10°, 3.414 Å, I 16; 2θ = 27.17°, 3.282 Å, I 17; 2θ = 30.16°, 2.963 Å, I 100; 2θ = 34.63°, 2.590 Å, I 42; 2θ = 37.25°, 2.414 Å, I 34; 2θ = 38.03°, 2.366 Å, I 20; 2θ = 40.15°, 2.246 Å, I 30; 2θ = 48.52°, 1.876 Å, I 16; 2θ = 62.83°, 1.479 Å, I 23

abc: 3.414 3.414 11.930
angles: 90.00 90.00 90.00
Element x y z (fractional)
1 K 0.000 0.000 0.000
2 Ca 0.500 0.500 0.315
3 Ca 0.500 0.500 0.685
4 Ta 0.000 0.000 0.500

(9)
This entry pairs a crystal structure of InAg4Rh with its simulated powder XRD pattern. Radiation: Cu Ka. Structure: a DFT-relaxed cell (PBE, Alexandria).
Intensities are scaled so that the largest is 100.

Principal peaks in the range 2θ = 10–90°, in order of rising 2θ:
2θ = 20.11°, 4.416 Å, I 6; 2θ = 33.13°, 2.704 Å, I 27; 2θ = 39.06°, 2.306 Å, I 100; 2θ = 40.88°, 2.208 Å, I 40; 2θ = 47.56°, 1.912 Å, I 5; 2θ = 59.18°, 1.561 Å, I 10; 2θ = 63.17°, 1.472 Å, I 31; 2θ = 69.53°, 1.352 Å, I 26; 2θ = 82.75°, 1.166 Å, I 11; 2θ = 83.92°, 1.153 Å, I 14

abc: 5.408 5.408 5.408
angles: 60.00 60.00 60.00
Element x y z (fractional)
1 In 0.000 0.000 0.000
2 Ag 0.375 0.375 0.375
3 Ag 0.375 0.375 0.874
4 Ag 0.375 0.874 0.375
5 Ag 0.874 0.375 0.375
6 Rh 0.750 0.750 0.750

(10)
This entry pairs a crystal structure of Al4IrPd with its simulated powder XRD pattern. Radiation: Cu Ka. Structure: a DFT-relaxed cell (PBE, Alexandria).
Intensities are scaled so that the largest is 100.

Principal peaks in the range 2θ = 10–90°, in order of rising 2θ:
2θ = 13.34°, 6.635 Å, I 22; 2θ = 21.96°, 4.048 Å, I 71; 2θ = 26.89°, 3.316 Å, I 81; 2θ = 31.91°, 2.805 Å, I 53; 2θ = 39.01°, 2.309 Å, I 87; 2θ = 41.68°, 2.167 Å, I 72; 2θ = 45.24°, 2.004 Å, I 100; 2θ = 50.20°, 1.817 Å, I 21; 2θ = 69.88°, 1.346 Å, I 31; 2θ = 77.59°, 1.230 Å, I 23

abc: 8.870 2.990 7.269
angles: 90.00 114.11 90.00
Element x y z (fractional)
1 Al 0.162 0.000 0.335
2 Al 0.163 0.000 0.828
3 Al 0.337 0.500 0.172
4 Al 0.338 0.500 0.665
5 Al 0.662 0.500 0.335
6 Al 0.663 0.500 0.828
7 Al 0.837 0.000 0.172
8 Al 0.838 0.000 0.665
9 Ir 0.000 0.500 0.500
10 Ir 0.500 0.000 0.500
11 Pd 0.000 0.500 0.000
12 Pd 0.500 0.000 0.000

(11)
This entry pairs a crystal structure of Er8BTe4S3 with its simulated powder XRD pattern. Radiation: Cu Ka. Structure: a DFT-relaxed cell (PBE, Alexandria).
Intensities are scaled so that the largest is 100.

Principal peaks in the range 2θ = 10–90°, in order of rising 2θ:
2θ = 26.03°, 3.424 Å, I 13; 2θ = 27.08°, 3.293 Å, I 19; 2θ = 30.95°, 2.890 Å, I 100; 2θ = 33.59°, 2.668 Å, I 26; 2θ = 38.85°, 2.318 Å, I 11; 2θ = 43.40°, 2.085 Å, I 27; 2θ = 45.25°, 2.004 Å, I 38; 2θ = 55.83°, 1.647 Å, I 18; 2θ = 61.13°, 1.516 Å, I 17; 2θ = 74.60°, 1.272 Å, I 14

abc: 8.354 8.354 8.354
angles: 57.34 57.34 57.34
Element x y z (fractional)
1 Er 0.235 0.235 0.235
2 Er 0.256 0.723 0.723
3 Er 0.277 0.277 0.744
4 Er 0.277 0.744 0.277
5 Er 0.723 0.256 0.723
6 Er 0.723 0.723 0.256
7 Er 0.744 0.277 0.277
8 Er 0.765 0.765 0.765
9 B 0.500 0.500 0.500
10 Te 0.000 0.000 0.000
11 Te 0.000 0.500 0.500
12 Te 0.500 0.000 0.500
13 Te 0.500 0.500 0.000
14 S 0.000 0.000 0.500
15 S 0.000 0.500 0.000
16 S 0.500 0.000 0.000

(12)
This entry pairs a crystal structure of Pm2MnIn with its simulated powder XRD pattern. Radiation: Cu Ka. Structure: a DFT-relaxed cell (PBE, Alexandria).
Intensities are scaled so that the largest is 100.

Principal peaks in the range 2θ = 10–90°, in order of rising 2θ:
2θ = 24.13°, 3.688 Å, I 8; 2θ = 26.73°, 3.335 Å, I 8; 2θ = 33.41°, 2.682 Å, I 100; 2θ = 34.40°, 2.607 Å, I 51; 2θ = 46.46°, 1.954 Å, I 9; 2θ = 49.44°, 1.844 Å, I 21; 2θ = 59.07°, 1.564 Å, I 17; 2θ = 60.98°, 1.519 Å, I 34; 2θ = 70.18°, 1.341 Å, I 11; 2θ = 82.77°, 1.166 Å, I 9

abc: 3.688 3.688 7.817
angles: 90.00 90.00 90.00
Element x y z (fractional)
1 Pm 0.000 0.000 0.231
2 Pm 0.000 0.000 0.769
3 Mn 0.500 0.500 0.000
4 In 0.500 0.500 0.500

Copy entry 12 word for word.
This entry pairs a crystal structure of Pm2MnIn with its simulated powder XRD pattern. Radiation: Cu Ka. Structure: a DFT-relaxed cell (PBE, Alexandria).
Intensities are scaled so that the largest is 100.

Principal peaks in the range 2θ = 10–90°, in order of rising 2θ:
2θ = 24.13°, 3.688 Å, I 8; 2θ = 26.73°, 3.335 Å, I 8; 2θ = 33.41°, 2.682 Å, I 100; 2θ = 34.40°, 2.607 Å, I 51; 2θ = 46.46°, 1.954 Å, I 9; 2θ = 49.44°, 1.844 Å, I 21; 2θ = 59.07°, 1.564 Å, I 17; 2θ = 60.98°, 1.519 Å, I 34; 2θ = 70.18°, 1.341 Å, I 11; 2θ = 82.77°, 1.166 Å, I 9

abc: 3.688 3.688 7.817
angles: 90.00 90.00 90.00
Element x y z (fractional)
1 Pm 0.000 0.000 0.231
2 Pm 0.000 0.000 0.769
3 Mn 0.500 0.500 0.000
4 In 0.500 0.500 0.500